1.
Theoretical PXRD pattern
Compound: Na4MgCl5
Radiation: a wavelength of 1.5418 Å
Structure: a cell relaxed with GGA-PBE
Kinematic intensities with the Lorentz-polarization factor, no thermal factor.

Main lines, in order of rising 2θ (10° ≤ 2θ ≤ 90°):
d = 3.319 Å, 26.9°, rel. 115
d = 2.889 Å, 31.0°, rel. 1000
d = 2.846 Å, 31.4°, rel. 470
d = 2.043 Å, 44.3°, rel. 331
d = 2.028 Å, 44.7°, rel. 638
d = 1.660 Å, 55.4°, rel. 314
d = 1.292 Å, 73.3°, rel. 126
d = 1.288 Å, 73.5°, rel. 123
d = 1.277 Å, 74.3°, rel. 114
d = 1.176 Å, 81.9°, rel. 180

Crystal structure
Lattice parameters (Å, degrees): 9.1353 9.1353 5.6929 90.00 90.00 90.00
Space group I4 (No. 79)
One atom of each set of equivalent atoms:
Na (0.1023, 0.3009, 0.0000) (multiplicity 8)
Mg (0.0000, 0.0000, 0.4976) (multiplicity 2)
Cl (0.0000, 0.0000, 0.9657) (multiplicity 2)
Cl (0.1023, 0.3037, 0.4999) (multiplicity 8)

---

2.
Theoretical PXRD pattern
Compound: CsCd2Sn4
Radiation: a wavelength of 1.5418 Å
Structure: a cell relaxed with GGA-PBE
Kinematic intensities with the Lorentz-polarization factor, no thermal factor.

Main lines, in order of rising 2θ (10° ≤ 2θ ≤ 90°):
d = 3.978 Å, 22.4°, rel. 162
d = 3.252 Å, 27.4°, rel. 263
d = 3.189 Å, 28.0°, rel. 304
d = 3.119 Å, 28.6°, rel. 1000
d = 2.459 Å, 36.5°, rel. 311
d = 2.342 Å, 38.4°, rel. 298
d = 2.260 Å, 39.9°, rel. 166
d = 2.250 Å, 40.1°, rel. 265
d = 2.131 Å, 42.4°, rel. 628
d = 1.623 Å, 56.7°, rel. 202

Crystal structure
Lattice parameters (Å, degrees): 4.5006 4.6836 22.5991 90.00 90.00 90.00
Space group Immm (No. 71)
One atom of each set of equivalent atoms:
Cs (0.0000, 0.0000, 0.0000) (multiplicity 2)
Cd (0.0000, 0.5000, 0.3166) (multiplicity 4)
Sn (0.0000, 0.0000, 0.3970) (multiplicity 4)
Sn (0.0000, 0.5000, 0.1883) (multiplicity 4)